Diffraction record for Li2CuPO4. The X-ray powder pattern is computed, not measured: it uses a cell relaxed with GGA-PBE and a wavelength of 1.5418 Å.
Intensities are scaled so that the largest is 1000.

Top 10 peaks for 10 to 90 degrees two-theta, sorted by position:
| (hkl) | 2theta | I/Imax |
| --- | --- | --- |
| 0 1 0 | 14.24 | 1000 |
| 0 1 1 | 16.70 | 327 |
| 1 -1 0 | 21.97 | 456 |
| 1 1 -2 | 28.16 | 334 |
| 1 2 0 | 33.09 | 526 |
| 2 0 0 | 33.28 | 480 |
| 1 -2 0 | 33.46 | 409 |
| 0 0 4 | 35.58 | 768 |
| 2 0 2 | 37.85 | 623 |
| 1 2 -4 | 49.51 | 352 |

Crystal structure
```
Li2CuPO4
1.0
5.385 0.000 0.000
0.077 6.219 0.000
0.023 0.064 10.094
Li Cu P O
8 4 4 16
Cartesian
0.000 0.000 0.000 Li
0.099 6.210 5.044 Li
1.936 6.246 7.563 Li
1.871 0.061 2.555 Li
1.929 3.103 2.584 Li
2.829 1.577 5.062 Li
4.515 4.701 7.573 Li
4.538 4.676 2.556 Li
0.091 3.203 5.034 Cu
0.147 3.118 10.043 Cu
1.827 3.114 7.651 Cu
2.613 1.669 10.066 Cu
2.756 4.725 5.006 P
2.771 4.718 0.037 P
4.588 1.527 7.514 P
4.598 1.539 2.539 P
1.973 5.957 0.557 O
1.995 5.970 5.549 O
2.058 3.457 0.638 O
2.087 3.394 5.502 O
2.748 4.717 3.453 O
2.770 4.754 8.572 O
3.105 1.478 7.993 O
3.130 1.566 3.062 O
4.214 4.772 5.565 O
4.233 4.756 0.554 O
4.609 1.509 5.965 O
4.610 1.484 0.981 O
5.221 2.878 8.006 O
5.356 2.842 2.972 O
5.350 0.296 8.080 O
5.335 0.277 3.086 O
```

***

Diffraction record for LiCu5P2O8. The X-ray powder pattern is computed, not measured: it uses a cell relaxed with GGA-PBE and a wavelength of 1.5418 Å.
Intensities are scaled so that the largest is 1000.

Top 10 peaks for 10 to 90 degrees two-theta, sorted by position:
| (hkl) | 2theta | I/Imax |
| --- | --- | --- |
| 1 0 0 | 15.65 | 378 |
| 0 1 1 | 16.66 | 380 |
| 2 0 0 | 31.61 | 330 |
| 1 2 0 | 32.92 | 746 |
| 0 0 4 | 34.70 | 1000 |
| 2 0 -2 | 35.97 | 333 |
| 2 0 2 | 36.38 | 314 |
| 1 2 -2 | 37.25 | 537 |
| 1 2 2 | 37.45 | 560 |
| 3 2 0 | 57.13 | 278 |

Crystal structure
```
LiCu5P2O8
1.0
5.662 0.000 0.000
0.000 6.205 0.000
-0.136 0.000 10.341
Li Cu P O
2 10 4 16
Cartesian
0.000 0.000 0.000 Li
1.593 3.103 2.578 Li
2.167 3.103 7.680 Cu
2.713 1.593 5.224 Cu
2.713 4.613 5.224 Cu
2.721 1.768 10.239 Cu
2.721 4.437 10.239 Cu
4.333 1.775 7.794 Cu
4.333 4.431 7.794 Cu
4.447 1.241 2.509 Cu
4.447 4.964 2.509 Cu
4.981 0.000 5.037 Cu
1.510 0.000 7.853 P
1.761 0.000 2.620 P
5.527 3.103 0.134 P
5.493 3.103 5.187 P
0.051 0.000 7.355 O
0.340 0.000 1.948 O
1.243 3.103 4.548 O
1.189 3.103 9.944 O
1.651 0.000 4.169 O
1.609 0.000 9.409 O
2.319 1.222 7.278 O
2.319 4.983 7.278 O
2.478 1.310 2.122 O
2.478 4.895 2.122 O
4.675 1.867 4.669 O
4.675 4.338 4.669 O
4.700 1.795 9.924 O
4.700 4.410 9.924 O
5.472 3.103 1.687 O
5.563 3.103 6.739 O
```